No. 1
Structure and computed X-ray powder pattern of NiTePd (a cell relaxed with PBE; Cu Kα, 1.54184 Å).

Most intense lines, 10 to 80 degrees two-theta, sorted by position:
29.30°, intensity 22
31.64°, intensity 46
34.73°, intensity 27
38.42°, intensity 27
42.43°, intensity 27
42.86°, intensity 100
45.36°, intensity 21
47.68°, intensity 30
48.13°, intensity 14
66.10°, intensity 15
67.91°, intensity 14
73.37°, intensity 16

Atomic structure:
a = 8.4261 Å, b = 3.8145 Å, c = 6.3459 Å
α = 90.00°, β = 90.00°, γ = 90.00°
Positions (direct):
Ni 0.1050 0.2500 0.0106
Ni 0.3950 0.7500 0.5106
Ni 0.6050 0.2500 0.4894
Ni 0.8950 0.7500 0.9894
Te 0.1568 0.7500 0.7601
Te 0.3432 0.2500 0.2601
Te 0.6568 0.7500 0.7399
Te 0.8432 0.2500 0.2399
Pd 0.0857 0.7500 0.3463
Pd 0.4143 0.2500 0.8463
Pd 0.5857 0.7500 0.1537
Pd 0.9143 0.2500 0.6537


No. 2
Structure and computed X-ray powder pattern of Ti2NiPd (a cell relaxed with PBE; Cu Kα, 1.54184 Å).

Most intense lines, 10 to 80 degrees two-theta, sorted by position:
18.58°, intensity 11
27.38°, intensity 13
37.49°, intensity 11
37.67°, intensity 25
40.51°, intensity 33
42.82°, intensity 100
42.98°, intensity 23
56.37°, intensity 7
56.51°, intensity 14
67.53°, intensity 7
67.89°, intensity 9
75.27°, intensity 17

Atomic structure:
a = 2.7743 Å, b = 4.4541 Å, c = 4.7754 Å
α = 90.00°, β = 90.00°, γ = 90.00°
Positions (direct):
Ti 0.0000 0.0000 0.0000
Ti 0.0000 0.5000 0.4174
Ni 0.5000 0.0000 0.5161
Pd 0.5000 0.5000 0.8932


No. 3
Structure and computed X-ray powder pattern of Pm2NiPt (a cell relaxed with PBE; Cu Kα, 1.54184 Å).

Most intense lines, 10 to 80 degrees two-theta, sorted by position:
21.72°, intensity 12
25.13°, intensity 1
35.83°, intensity 100
42.29°, intensity 7
51.58°, intensity 18
56.60°, intensity 3
64.39°, intensity 36
68.83°, intensity 2
75.94°, intensity 11

Atomic structure:
a = 7.0880 Å, b = 7.0880 Å, c = 7.0880 Å
α = 90.00°, β = 90.00°, γ = 90.00°
Positions (direct):
Pm 0.2500 0.2500 0.2500
Pm 0.2500 0.2500 0.7500
Pm 0.2500 0.7500 0.2500
Pm 0.2500 0.7500 0.7500
Pm 0.7500 0.2500 0.2500
Pm 0.7500 0.2500 0.7500
Pm 0.7500 0.7500 0.2500
Pm 0.7500 0.7500 0.7500
Ni 0.0000 0.0000 0.0000
Ni 0.0000 0.5000 0.5000
Ni 0.5000 0.0000 0.5000
Ni 0.5000 0.5000 0.0000
Pt 0.0000 0.0000 0.5000
Pt 0.0000 0.5000 0.0000
Pt 0.5000 0.0000 0.0000
Pt 0.5000 0.5000 0.5000